(1)
This entry pairs a crystal structure of Mo3WSe4S4 with its theoretical powder diffraction line list. Radiation: a wavelength of 1.5418 Å. Structure: a DFT-relaxed cell (PBE, the Materials Project).
Peak positions follow from Bragg's law for the DFT cell and can differ from measured ones.

Peak list (6 most intense, 10 to 90 degrees two-theta, by angle)
| 2theta | Rel. int. |
| --- | --- |
| 12.01 | 100 |
| 14.43 | 23 |
| 31.78 | 37 |
| 37.41 | 64 |
| 45.39 | 40 |
| 56.58 | 23 |

Crystal structure
```
12
Lattice="3.2541 0.0000 0.0000 -1.6270 2.8181 0.0000 0.0000 0.0000 36.8387" Properties=species:S:1:pos:R:3 pbc="T T T"
Mo 0.0000 0.0000 0.0000
Mo 0.0000 0.0000 13.8424
Mo 0.0000 1.8787 20.7642
W 0.0000 1.8787 6.9213
Se 0.0000 0.0000 19.0670
Se 0.0000 0.0000 22.4609
Se 0.0000 1.8787 12.1446
Se 0.0000 1.8787 15.5388
S 0.0000 0.0000 5.3722
S 0.0000 0.0000 8.4693
S 0.0000 1.8787 1.5431
S 0.0000 1.8787 35.2953
```

---

(2)
This entry pairs a crystal structure of Li2Fe2S3 with its theoretical powder diffraction line list. Radiation: a wavelength of 1.5418 Å. Structure: a DFT-relaxed cell (PBE, the Materials Project).
Peak positions follow from Bragg's law for the DFT cell and can differ from measured ones.

Peak list (6 most intense, 10 to 90 degrees two-theta, by angle)
| 2theta | Rel. int. |
| --- | --- |
| 13.74 | 100 |
| 15.90 | 30 |
| 19.75 | 40 |
| 36.57 | 20 |
| 37.31 | 38 |
| 49.05 | 17 |

Crystal structure
```
28
Lattice="6.8238 -6.2584 0.0000 6.8238 6.2584 0.0000 -2.0696 0.0000 5.9317" Properties=species:S:1:pos:R:3 pbc="T T T"
Li 2.9241 3.1390 4.4250
Li 3.6496 0.9005 1.2563
Li 2.6148 -0.9005 4.2221
Li 7.6191 3.1390 4.4725
Li 3.9589 -3.1390 1.4592
Li 8.9632 0.9005 1.7096
Li 7.9284 -0.9005 4.6754
Li 8.6539 -3.1390 1.5067
Fe 5.1937 5.1161 2.0480
Fe 7.4191 5.1161 0.9179
Fe 6.3064 2.2892 1.4829
Fe 5.2716 0.2002 4.4488
Fe 6.3064 -0.2002 1.4829
Fe 5.2716 -2.2892 4.4488
Fe 4.1589 -5.1161 5.0138
Fe 6.3843 -5.1161 3.8837
S 1.4544 0.9706 0.3036
S 4.2394 3.0407 2.3486
S 0.4196 -0.9706 3.2694
S 3.3607 1.0305 5.5473
S 8.3734 3.0407 0.6173
S 4.3955 -1.0305 2.5814
S 7.1825 1.0305 3.3503
S 3.2046 -3.0407 5.3144
S 8.2173 -1.0305 0.3844
S 11.1584 0.9706 2.6623
S 7.3386 -3.0407 3.5831
S 10.1236 -0.9706 5.6281
```

---

(3)
This entry pairs a crystal structure of Ru2C3N6 with its theoretical powder diffraction line list. Radiation: a wavelength of 1.5418 Å. Structure: a DFT-relaxed cell (PBE, the Materials Project).
Peak positions follow from Bragg's law for the DFT cell and can differ from measured ones.

Peak list (6 most intense, 10 to 90 degrees two-theta, by angle)
| 2theta | Rel. int. |
| --- | --- |
| 18.41 | 100 |
| 20.06 | 64 |
| 22.73 | 47 |
| 37.94 | 100 |
| 38.59 | 49 |
| 50.57 | 45 |

Crystal structure
```
22
Lattice="4.7544 -2.6663 0.0000 4.7544 2.6663 0.0000 -3.1581 0.0000 9.6379" Properties=species:S:1:pos:R:3 pbc="T T T"
Ru 0.8691 1.4391 9.6200
Ru 3.9025 1.4391 4.8368
Ru 2.4482 -1.4391 4.8010
Ru 5.4816 -1.4391 0.0179
C -0.7938 0.4520 7.3523
C 0.7853 -0.4520 2.5333
C 2.3858 0.3475 7.2284
C 3.9649 -0.3475 2.4095
C 5.5654 0.4520 7.1045
C 7.1445 -0.4520 2.2856
N -0.9545 0.3198 6.1450
N -0.7295 0.6459 8.5742
N 0.6246 -0.3198 1.3261
N 0.8496 -0.6459 3.7553
N 2.5574 0.3317 6.0008
N 2.2143 0.3317 8.4560
N 4.1365 -0.3317 1.1819
N 3.7933 -0.3317 3.6371
N 5.5011 0.6459 5.8826
N 5.7261 0.3198 8.3118
N 7.0802 -0.6459 1.0636
N 7.3052 -0.3198 3.4928
```

---

(4)
This entry pairs a crystal structure of K3SbI6 with its theoretical powder diffraction line list. Radiation: a wavelength of 1.5418 Å. Structure: a DFT-relaxed cell (PBE, the Materials Project).
Peak positions follow from Bragg's law for the DFT cell and can differ from measured ones.

Peak list (6 most intense, 10 to 90 degrees two-theta, by angle)
| 2theta | Rel. int. |
| --- | --- |
| 13.90 | 60 |
| 24.20 | 88 |
| 28.02 | 100 |
| 31.41 | 31 |
| 40.04 | 73 |
| 47.34 | 38 |

Crystal structure
```
10
Lattice="0.0000 6.3690 6.3690 6.3690 0.0000 6.3690 6.3690 6.3690 0.0000" Properties=species:S:1:pos:R:3 pbc="T T T"
K 0.0000 0.0000 0.0000
K 3.1845 3.1845 3.1845
K 9.5535 9.5535 9.5535
Sb 6.3690 6.3690 6.3690
I 6.3690 6.3690 3.3492
I 6.3690 3.3492 6.3690
I 9.3888 6.3690 6.3690
I 3.3492 6.3690 6.3690
I 6.3690 9.3888 6.3690
I 6.3690 6.3690 9.3888
```

---

(5)
This entry pairs a crystal structure of BeH8Cl2O4 with its theoretical powder diffraction line list. Radiation: a wavelength of 1.5418 Å. Structure: a DFT-relaxed cell (PBE, the Materials Project).
Peak positions follow from Bragg's law for the DFT cell and can differ from measured ones.

Peak list (6 most intense, 10 to 90 degrees two-theta, by angle)
| 2theta | Rel. int. |
| --- | --- |
| 24.57 | 100 |
| 24.83 | 66 |
| 26.86 | 78 |
| 27.58 | 77 |
| 30.51 | 90 |
| 34.45 | 64 |

Crystal structure
```
60
Lattice="6.6634 0.0000 0.0000 0.0000 13.1232 0.0000 -1.9204 0.0000 7.6969" Properties=species:S:1:pos:R:3 pbc="T T T"
Be 0.7351 1.2119 2.0289
Be -0.2251 5.3497 5.8774
Be 4.9681 7.7735 1.8195
Be 4.0080 11.9114 5.6680
H -0.7885 2.1381 3.4615
H -1.7487 4.4235 7.3100
H -0.0614 8.6303 3.2494
H -1.0216 11.0545 7.0978
H 0.2275 7.0836 2.8326
H -0.7326 12.6013 6.6811
H 0.4040 1.5340 4.3602
H 1.3642 5.0276 0.5117
H 0.0834 7.6061 6.6349
H 1.0436 12.0787 2.7864
H 2.2767 1.9505 0.5193
H 1.3165 4.6111 4.3678
H 1.3120 7.0660 5.7285
H 2.2722 12.6188 1.8800
H 2.6638 2.4547 2.0264
H 1.7036 4.1069 5.8749
H 3.0395 9.0164 1.8220
H 2.0793 10.6685 5.6705
H 2.4708 0.5044 5.8169
H 3.4310 6.0572 1.9685
H 3.4265 8.5121 3.3291
H 2.4663 11.1728 7.1776
H 3.6995 1.0445 4.9105
H 4.6597 5.5171 1.0620
H 3.3789 8.0956 7.1852
H 4.3391 11.5892 3.3368
H 5.4757 0.5220 1.0158
H 4.5155 6.0396 4.8643
H 5.7647 2.0687 0.5991
H 4.8045 4.4929 4.4476
H 6.4917 8.6997 0.3869
H 5.5315 10.9851 4.2354
Cl 1.7234 9.2789 0.1429
Cl 0.7632 10.4060 3.9913
Cl 0.5929 0.9889 6.3233
Cl 1.5531 5.5728 2.4748
Cl 3.1899 7.5505 5.2221
Cl 4.1501 12.1344 1.3736
Cl 3.9798 2.7172 3.7056
Cl 3.0197 3.8444 7.5541
O -0.4819 7.7872 2.9173
O -1.4421 11.8976 6.7657
O 0.1549 1.7920 3.4269
O -0.8053 4.7696 7.2754
O 0.3943 6.8425 6.0711
O 1.3545 12.8423 2.2226
O 1.9231 2.1722 1.4242
O 0.9629 4.3894 5.2726
O 3.7802 8.7338 2.4243
O 2.8200 10.9510 6.2728
O 3.3885 0.2809 5.4743
O 4.3487 6.2807 1.6258
O 5.5484 8.3536 0.4215
O 4.5882 11.3312 4.2700
O 6.1851 1.2256 0.9312
O 5.2249 5.3360 4.7797
```

---

(6)
This entry pairs a crystal structure of CeSe2 with its theoretical powder diffraction line list. Radiation: a wavelength of 1.5418 Å. Structure: a DFT-relaxed cell (PBE, the Materials Project).
Peak positions follow from Bragg's law for the DFT cell and can differ from measured ones.

Peak list (6 most intense, 10 to 90 degrees two-theta, by angle)
| 2theta | Rel. int. |
| --- | --- |
| 22.24 | 77 |
| 36.64 | 100 |
| 37.13 | 96 |
| 43.50 | 29 |
| 53.15 | 34 |
| 66.29 | 34 |

Crystal structure
```
9
Lattice="4.9052 0.0000 0.0000 -2.4526 4.2480 0.0000 0.0000 0.0000 11.7887" Properties=species:S:1:pos:R:3 pbc="T T T"
Ce -0.8348 1.4458 3.9296
Ce 1.6695 0.0000 7.8591
Ce 1.6178 2.8022 0.0000
Se -0.7968 1.4189 6.9001
Se -0.8254 4.2287 10.8297
Se 1.6272 0.0194 4.8885
Se 1.6222 2.8485 2.9706
Se 1.6558 2.8292 8.8181
Se 4.0748 1.3995 0.9590
```

---

(7)
This entry pairs a crystal structure of SmInCo2 with its theoretical powder diffraction line list. Radiation: a wavelength of 1.5418 Å. Structure: a DFT-relaxed cell (PBE, the Materials Project).
Peak positions follow from Bragg's law for the DFT cell and can differ from measured ones.

Peak list (6 most intense, 10 to 90 degrees two-theta, by angle)
| 2theta | Rel. int. |
| --- | --- |
| 30.95 | 100 |
| 35.52 | 28 |
| 37.52 | 22 |
| 37.94 | 68 |
| 41.71 | 23 |
| 44.88 | 31 |

Crystal structure
```
8
Lattice="5.0546 0.0000 0.0000 0.0000 4.0396 0.0000 0.0000 0.0000 7.1905" Properties=species:S:1:pos:R:3 pbc="T T T"
Sm 1.2636 0.0000 1.5632
Sm 3.7909 0.0000 5.6273
In 1.2636 2.0198 6.0882
In 3.7909 2.0198 1.1023
Co 0.0000 2.0198 3.5953
Co 1.2636 0.0000 4.2494
Co 2.5273 2.0198 3.5953
Co 3.7909 0.0000 2.9411
```

---

(8)
This entry pairs a crystal structure of Bi7O6F9 with its theoretical powder diffraction line list. Radiation: a wavelength of 1.5418 Å. Structure: a DFT-relaxed cell (PBE, the Materials Project).
Peak positions follow from Bragg's law for the DFT cell and can differ from measured ones.

Peak list (6 most intense, 10 to 90 degrees two-theta, by angle)
| 2theta | Rel. int. |
| --- | --- |
| 26.26 | 100 |
| 30.04 | 14 |
| 30.59 | 26 |
| 43.37 | 14 |
| 43.44 | 13 |
| 43.81 | 13 |

Crystal structure
```
44
Lattice="5.8366 0.0000 0.0000 0.0000 20.8241 2.9265 0.0000 -20.8241 2.9265" Properties=species:S:1:pos:R:3 pbc="T T T"
Bi 1.1256 -16.5847 2.9265
Bi 1.1256 -4.2394 2.9265
Bi 1.2056 7.2072 2.4949
Bi 1.2056 13.6169 2.4949
Bi 1.4100 -10.4121 3.0473
Bi 1.4448 1.2080 2.6838
Bi 1.4448 -1.2080 5.6103
Bi 4.3918 -1.2080 2.6838
Bi 4.3918 1.2080 5.6103
Bi 4.4266 10.4121 3.0473
Bi 4.6310 -13.6169 2.4949
Bi 4.6310 -7.2072 2.4949
Bi 4.7110 4.2394 2.9265
Bi 4.7110 16.5847 2.9265
O 0.0000 0.0000 1.2144
O 0.0000 0.0000 4.1409
O 0.0429 -3.0627 1.4271
O 0.0429 3.0627 4.3536
O 0.1297 -6.0872 1.1636
O 0.1297 6.0872 4.0901
O 2.9183 0.0000 1.3449
O 2.9183 0.0000 4.2715
O 5.7068 6.0872 1.1636
O 5.7068 -6.0872 4.0901
O 5.7936 3.0627 1.4271
O 5.7936 -3.0627 4.3536
F 0.2279 -9.0709 1.3530
F 0.2279 9.0709 4.2795
F 2.1799 -12.6331 3.3130
F 2.1799 -8.1910 3.3130
F 2.2883 10.4121 2.2025
F 2.4398 5.4671 2.0821
F 2.4398 -5.4671 5.0086
F 2.6365 2.6804 0.6805
F 2.6365 -2.6804 3.6070
F 3.2001 -2.6804 0.6805
F 3.2001 2.6804 3.6070
F 3.3968 -5.4671 2.0821
F 3.3968 5.4671 5.0086
F 3.5483 -10.4121 2.2025
F 3.6567 8.1910 3.3130
F 3.6567 12.6331 3.3130
F 5.6087 9.0709 1.3530
F 5.6087 -9.0709 4.2795
```